# RbMo3Br7
Computed powder X-ray diffraction pattern, Cu Kα. Input: a crystal structure in the Materials Project, relaxed with GGA-PBE.

Largest 10 diffraction maxima, in order of rising 2θ, 10° ≤ 2θ ≤ 90°:
| 2θ (°) | d [Å] | I (rel.) |
| --- | --- | --- |
| 10.25 | 8.628 | 100 |
| 11.57 | 7.650 | 13 |
| 13.64 | 6.492 | 16 |
| 14.33 | 6.179 | 10 |
| 14.99 | 5.912 | 21 |
| 27.47 | 3.247 | 10 |
| 28.43 | 3.139 | 14 |
| 28.90 | 3.089 | 18 |
| 34.94 | 2.568 | 10 |
| 40.62 | 2.221 | 14 |

Cell: 12.9284 12.9284 10.4665 Å, 111.20 111.20 72.56°
Positions (direct):
Rb 0.0219 0.9781 0.5000
Rb 0.4262 0.5793 0.2582
Rb 0.5793 0.4262 0.7582
Rb 0.9781 0.0219 0.0000
Mo 0.0547 0.3458 0.4540
Mo 0.0683 0.5184 0.3856
Mo 0.1373 0.5190 0.6575
Mo 0.3458 0.0547 0.9540
Mo 0.4858 0.8683 0.8605
Mo 0.4868 0.9375 0.1325
Mo 0.5184 0.0683 0.8856
Mo 0.5190 0.1373 0.1575
Mo 0.6594 0.9506 0.0630
Mo 0.8683 0.4858 0.3605
Mo 0.9375 0.4868 0.6325
Mo 0.9506 0.6594 0.5630
Br 0.0198 0.6598 0.8318
Br 0.1214 0.1261 0.8701
Br 0.1230 0.3476 0.7224
Br 0.1261 0.1214 0.3701
Br 0.1501 0.6905 0.5863
Br 0.1558 0.5430 0.2108
Br 0.2539 0.3800 0.4809
Br 0.3149 0.8561 0.9323
Br 0.3268 0.5405 0.8701
Br 0.3464 0.9857 0.6852
Br 0.3476 0.1230 0.2224
Br 0.3800 0.2539 0.9809
Br 0.4639 0.8502 0.3084
Br 0.4647 0.6788 0.6480
Br 0.5405 0.3268 0.3701
Br 0.5430 0.1558 0.7108
Br 0.6252 0.7519 0.0372
Br 0.6569 0.8826 0.7942
Br 0.6598 0.0198 0.3318
Br 0.6788 0.4647 0.1480
Br 0.6905 0.1501 0.0863
Br 0.7519 0.6252 0.5372
Br 0.8502 0.4639 0.8084
Br 0.8561 0.3149 0.4323
Br 0.8754 0.8834 0.6371
Br 0.8826 0.6569 0.2942
Br 0.8834 0.8754 0.1371
Br 0.9857 0.3464 0.1852